1.
Structure and calculated PXRD pattern of Zr2AlNi2Sb (DFT lattice parameters and positions (PBE); CuKα).

Top 6 peaks for 2θ = 10–90°, in order of rising 2θ:
2θ 16.40, I 12, hkl 1 0 1; 2θ 25.52, I 23, hkl 1 1 2; 2θ 29.56, I 26, hkl 2 0 0; 2θ 42.29, I 100, hkl 2 2 0; 2θ 61.35, I 16, hkl 4 0 0; 2θ 77.34, I 31, hkl 4 2 4

Cell: 6.043 6.043 12.096 Å, 90.00 90.00 90.00°
Space group I-42d (No. 122)
Symmetry-distinct sites (fractional):
Zr: 0.000 0.000 0.244 [8 per cell]
Al: 0.000 0.000 0.000 [4 per cell]
Ni: 0.245 0.250 0.125 [8 per cell]
Sb: 0.000 0.000 0.500 [4 per cell]

***

2.
Structure and calculated PXRD pattern of AlSi6Ni (DFT lattice parameters and positions (PBE); CuKα).

Top 6 peaks for 2θ = 10–90°, in order of rising 2θ:
2θ 21.88, I 100, hkl 2 0 0; 2θ 36.68, I 63, hkl 3 1 1; 2θ 38.37, I 42, hkl 2 2 2; 2θ 44.61, I 85, hkl 4 0 0; 2θ 48.86, I 60, hkl 3 3 1; 2θ 64.92, I 47, hkl 4 4 0

Cell: 8.126 8.126 8.126 Å, 90.00 90.00 90.00°
Space group F-43m (No. 216)
Symmetry-distinct sites (fractional):
Al: 0.000 0.000 0.000 [4 per cell]
Si: 0.030 0.250 0.750 [24 per cell]
Ni: 0.250 0.250 0.250 [4 per cell]

***

3.
Structure and calculated PXRD pattern of Tm4AlSi4Ni2 (DFT lattice parameters and positions (PBE); CuKα).

Top 6 peaks for 2θ = 10–90°, in order of rising 2θ:
2θ 22.37, I 93, hkl 1 1 0; 2θ 34.63, I 75, hkl 3 1 1; 2θ 35.75, I 100, hkl 3 1 -2; 2θ 37.46, I 79, hkl 5 1 -1; 2θ 37.57, I 99, hkl 1 1 2; 2θ 43.69, I 60, hkl 0 2 0

Cell: 14.849 4.144 6.770 Å, 90.00 108.56 90.00°
Space group C2/m (No. 12)
Symmetry-distinct sites (fractional):
Tm: 0.088 0.000 0.385 [4 per cell]
Tm: 0.154 0.000 0.939 [4 per cell]
Al: 0.000 0.500 0.000 [2 per cell]
Si: 0.063 0.500 0.662 [4 per cell]
Si: 0.201 0.500 0.268 [4 per cell]
Ni: 0.217 0.500 0.640 [4 per cell]

***

4.
Structure and calculated PXRD pattern of Sm3AlNi8 (DFT lattice parameters and positions (PBE); CuKα).

Top 6 peaks for 2θ = 10–90°, in order of rising 2θ:
2θ 34.47, I 98, hkl 1 0 5; 2θ 35.35, I 54, hkl 1 1 0; 2θ 41.44, I 53, hkl 2 0 1; 2θ 42.05, I 100, hkl 1 1 4; 2θ 62.89, I 35, hkl 2 1 5; 2θ 74.78, I 25, hkl 2 2 0

Cell: 5.0781 5.0781 16.1398 Å, 90.00 90.00 120.00°
Space group P6_3/mmc (No. 194)
Symmetry-distinct sites (fractional):
Sm: 0.3333 0.6667 0.0416 [4 per cell]
Sm: 0.3333 0.6667 0.2500 [2 per cell]
Al: 0.3333 0.6667 0.7500 [2 per cell]
Ni: 0.0000 0.0000 0.0000 [2 per cell]
Ni: 0.0000 0.0000 0.2500 [2 per cell]
Ni: 0.1649 0.3297 0.6279 [12 per cell]

***

5.
Structure and calculated PXRD pattern of Sm3Al2Ni6 (DFT lattice parameters and positions (PBE); CuKα).

Top 6 peaks for 2θ = 10–90°, in order of rising 2θ:
2θ 31.41, I 37, hkl 3 1 0; 2θ 34.50, I 25, hkl 2 2 2; 2θ 37.36, I 25, hkl 3 2 1; 2θ 40.05, I 18, hkl 4 0 0; 2θ 42.59, I 100, hkl 3 3 0; 2θ 77.96, I 26, hkl 6 3 3

Cell: 9.006 9.006 9.006 Å, 90.00 90.00 90.00°
Space group Im-3m (No. 229)
Symmetry-distinct sites (fractional):
Sm: 0.000 0.000 0.292 [12 per cell]
Al: 0.250 0.250 0.250 [8 per cell]
Ni: 0.000 0.334 0.334 [24 per cell]

***

6.
Structure and calculated PXRD pattern of Sm4Al23Ni6 (DFT lattice parameters and positions (PBE); CuKα).

Top 6 peaks for 2θ = 10–90°, in order of rising 2θ:
2θ 30.18, I 77, hkl 3 1 1; 2θ 35.65, I 100, hkl 5 1 -2; 2θ 36.75, I 79, hkl 1 1 5; 2θ 37.19, I 91, hkl 1 1 -6; 2θ 39.78, I 70, hkl 5 1 1; 2θ 44.12, I 81, hkl 0 2 0

Cell: 15.963 4.105 18.357 Å, 90.00 113.05 90.00°
Space group C2/m (No. 12)
Symmetry-distinct sites (fractional):
Sm: 0.071 0.000 0.407 [4 per cell]
Sm: 0.235 0.000 0.782 [4 per cell]
Al: 0.000 0.500 0.500 [2 per cell]
Al: 0.032 0.000 0.782 [4 per cell]
Al: 0.067 0.000 0.940 [4 per cell]
Al: 0.082 0.500 0.686 [4 per cell]
Al: 0.090 0.500 0.050 [4 per cell]
Al: 0.090 0.500 0.280 [4 per cell]
Al: 0.109 0.000 0.162 [4 per cell]
Al: 0.123 0.000 0.595 [4 per cell]
Al: 0.144 0.500 0.858 [4 per cell]
Al: 0.202 0.500 0.521 [4 per cell]
Al: 0.224 0.000 0.324 [4 per cell]
Al: 0.245 0.000 0.954 [4 per cell]
Ni: 0.008 0.500 0.136 [4 per cell]
Ni: 0.189 0.000 0.067 [4 per cell]
Ni: 0.227 0.500 0.398 [4 per cell]

***

7.
Structure and calculated PXRD pattern of SmY2Al3Ni3 (DFT lattice parameters and positions (PBE); CuKα).

Top 6 peaks for 2θ = 10–90°, in order of rising 2θ:
2θ 14.42, I 27, hkl 0 1 1; 2θ 34.38, I 39, hkl 1 0 2; 2θ 34.52, I 92, hkl 1 3 1; 2θ 37.50, I 100, hkl 1 2 2; 2θ 37.67, I 55, hkl 1 4 0; 2θ 47.35, I 33, hkl 2 0 0

Cell: 3.840 12.194 7.110 Å, 90.00 90.00 90.00°
Space group Amm2 (No. 38)
Symmetry-distinct sites (fractional):
Sm: 0.000 0.000 0.000 [2 per cell]
Y: 0.000 0.208 0.628 [4 per cell]
Al: 0.500 0.000 0.651 [2 per cell]
Al: 0.500 0.119 0.304 [4 per cell]
Ni: 0.000 0.000 0.419 [2 per cell]
Ni: 0.500 0.168 0.919 [4 per cell]

***

8.
Structure and calculated PXRD pattern of TbTmAl4Ni2 (DFT lattice parameters and positions (PBE); CuKα).

Top 6 peaks for 2θ = 10–90°, in order of rising 2θ:
2θ 23.62, I 68, hkl 0 1 1; 2θ 25.87, I 52, hkl 2 0 0; 2θ 35.31, I 96, hkl 2 1 1; 2θ 36.99, I 100, hkl 1 1 3; 2θ 37.80, I 57, hkl 1 0 4; 2θ 53.24, I 43, hkl 4 0 0

Cell: 6.887 4.057 10.144 Å, 90.00 90.00 90.00°
Space group Amm2 (No. 38)
Symmetry-distinct sites (fractional):
Tb: 0.000 0.000 0.000 [2 per cell]
Tm: 0.500 0.000 0.122 [2 per cell]
Al: 0.197 0.000 0.717 [4 per cell]
Al: 0.306 0.000 0.404 [4 per cell]
Ni: 0.000 0.000 0.277 [2 per cell]
Ni: 0.500 0.000 0.846 [2 per cell]

***

9.
Structure and calculated PXRD pattern of TbY2Al3Ni3 (DFT lattice parameters and positions (PBE); CuKα).

Top 6 peaks for 2θ = 10–90°, in order of rising 2θ:
2θ 14.49, I 22, hkl 0 1 1; 2θ 29.21, I 18, hkl 0 2 2; 2θ 34.65, I 88, hkl 1 3 1; 2θ 37.74, I 100, hkl 1 4 0; 2θ 39.07, I 19, hkl 0 4 2; 2θ 47.68, I 21, hkl 2 0 0

Cell: 3.815 12.178 7.070 Å, 90.00 90.00 90.00°
Space group Amm2 (No. 38)
Symmetry-distinct sites (fractional):
Tb: 0.000 0.000 0.000 [2 per cell]
Y: 0.000 0.208 0.625 [4 per cell]
Al: 0.500 0.000 0.652 [2 per cell]
Al: 0.500 0.118 0.299 [4 per cell]
Ni: 0.000 0.000 0.416 [2 per cell]
Ni: 0.500 0.165 0.918 [4 per cell]

***

10.
Structure and calculated PXRD pattern of Tb2Al3ZnNi2 (DFT lattice parameters and positions (PBE); CuKα).

Top 6 peaks for 2θ = 10–90°, in order of rising 2θ:
2θ 23.57, I 84, hkl 1 1 0; 2θ 25.42, I 70, hkl 0 0 2; 2θ 34.89, I 94, hkl 1 1 -2; 2θ 34.98, I 100, hkl 1 1 2; 2θ 37.14, I 99, hkl 3 1 -1; 2θ 37.24, I 63, hkl 3 1 1

Cell: 9.967 4.078 7.008 Å, 90.00 90.30 90.00°
Space group Cm (No. 8)
Symmetry-distinct sites (fractional):
Tb: 0.000 0.000 0.000 [2 per cell]
Tb: 0.122 0.000 0.494 [2 per cell]
Al: 0.215 0.500 0.805 [2 per cell]
Al: 0.222 0.500 0.194 [2 per cell]
Al: 0.406 0.000 0.693 [2 per cell]
Zn: 0.410 0.000 0.304 [2 per cell]
Ni: 0.277 0.000 0.996 [2 per cell]
Ni: 0.341 0.500 0.507 [2 per cell]

***

11.
Structure and calculated PXRD pattern of Th2Al15Ni10 (DFT lattice parameters and positions (PBE); CuKα).

Top 6 peaks for 2θ = 10–90°, in order of rising 2θ:
2θ 18.65, I 51, hkl 0 2 2; 2θ 25.94, I 100, hkl 1 1 2; 2θ 31.19, I 67, hkl 1 1 4; 2θ 34.57, I 100, hkl 1 3 2; 2θ 38.77, I 79, hkl 1 3 4; 2θ 46.11, I 54, hkl 2 0 0

Cell: 3.937 11.200 18.050 Å, 90.00 90.00 90.00°
Space group Immm (No. 71)
Symmetry-distinct sites (fractional):
Th: 0.000 0.000 0.228 [4 per cell]
Al: 0.000 0.000 0.000 [2 per cell]
Al: 0.000 0.125 0.396 [8 per cell]
Al: 0.000 0.174 0.085 [8 per cell]
Al: 0.000 0.305 0.205 [8 per cell]
Al: 0.000 0.381 0.000 [4 per cell]
Ni: 0.000 0.277 0.500 [4 per cell]
Ni: 0.000 0.319 0.337 [8 per cell]
Ni: 0.000 0.500 0.123 [4 per cell]
Ni: 0.000 0.500 0.420 [4 per cell]

***

12.
Structure and calculated PXRD pattern of YTmAlNi2 (DFT lattice parameters and positions (PBE); CuKα).

Top 6 peaks for 2θ = 10–90°, in order of rising 2θ:
2θ 27.10, I 68, hkl 1 1 0; 2θ 34.88, I 100, hkl 1 1 2; 2θ 39.27, I 52, hkl 1 0 3; 2θ 40.00, I 51, hkl 0 2 2; 2θ 41.44, I 54, hkl 1 2 1; 2θ 60.57, I 42, hkl 2 2 2

Cell: 4.157 5.382 8.254 Å, 90.00 90.00 90.00°
Space group Imm2 (No. 44)
Symmetry-distinct sites (fractional):
Y: 0.000 0.000 0.000 [2 per cell]
Tm: 0.000 0.000 0.405 [2 per cell]
Al: 0.000 0.500 0.202 [2 per cell]
Ni: 0.000 0.267 0.702 [4 per cell]